The following is a computed XRD peak list of Zr2Al3Cr. It was derived from a crystal structure in Alexandria, relaxed with GGA-PBE, using copper Kα.
Intensities are scaled so that the largest is 100.

Structural model:
a b c (Å): 5.3076 5.3076 12.9069
angles (deg): 90.00 90.00 120.00
Space group R-3m (No. 166, hexagonal axes)
One atom of each set of equivalent atoms:
Zr1 0.0000 0.0000 0.1281
Al1 0.0000 0.5000 0.0000
Cr1 0.0000 0.0000 0.5000

Peak list (10 most intense, 2θ = 10–90°, low angle first)
2theta  Rel. int.
20.64  19
33.78  60
33.94  33
39.90  100
40.06  32
60.53  12
64.57  18
64.67  15
71.04  14
71.44  14